(1)
Lu3Pd2: theoretical powder diffractogram (a wavelength of 1.5418 Å), based on a GGA-PBE-relaxed structure.
Intensities are scaled so that the largest is 1000.

Principal peaks in the range 2θ from 5° to 70°, in order of falling intensity:
- 2θ 33.20, I = 1000
- 2θ 31.99, I = 722
- 2θ 34.37, I = 592
- 2θ 41.39, I = 479
- 2θ 34.71, I = 476
- 2θ 37.23, I = 444

```
data_Lu3Pd2
_chemical_formula_sum 'Lu12 Pd8'
_cell_length_a 13.6831
_cell_length_b 3.6168
_cell_length_c 9.5550
_cell_angle_alpha 90.00
_cell_angle_beta 104.72
_cell_angle_gamma 90.00
_symmetry_space_group_name_H-M 'C 1 2/m 1'
_symmetry_Int_Tables_number 12
_symmetry_space_group_name_Hall '-C 2y'
loop_
_atom_site_label
_atom_site_fract_x
_atom_site_fract_y
_atom_site_fract_z
Lu1 0.0907 0.0000 0.1603
Lu2 0.1324 0.5000 0.4948
Lu3 0.1482 0.5000 0.8739
Pd1 0.0336 0.0000 0.6547
Pd2 0.2473 0.5000 0.2700
```


(2)
Sm2DySe3: theoretical powder diffractogram (a wavelength of 1.5418 Å), based on a GGA-PBE-relaxed structure.
Intensities are scaled so that the largest is 1000.

Principal peaks in the range 2θ from 5° to 70°, in order of falling intensity:
- 2θ 30.60, I = 1000
- 2θ 43.73, I = 372
- 2θ 43.91, I = 370
- 2θ 54.47, I = 195
- 2θ 26.45, I = 141
- 2θ 63.70, I = 121

```
data_Sm2DySe3
_chemical_formula_sum 'Sm2 Dy1 Se3'
_cell_length_a 4.1238
_cell_length_b 4.1238
_cell_length_c 10.1606
_cell_angle_alpha 90.00
_cell_angle_beta 90.00
_cell_angle_gamma 120.00
_symmetry_space_group_name_H-M 'P -3 m 1'
_symmetry_Int_Tables_number 164
_symmetry_space_group_name_Hall '-P 3 2"'
loop_
_atom_site_label
_atom_site_fract_x
_atom_site_fract_y
_atom_site_fract_z
Sm1 0.3333 0.6667 0.1686
Dy1 0.0000 0.0000 0.5000
Se1 0.0000 0.0000 0.0000
Se2 0.3333 0.6667 0.6593
```


Copy entry 2 word for word.
Sm2DySe3: theoretical powder diffractogram (a wavelength of 1.5418 Å), based on a GGA-PBE-relaxed structure.
Intensities are scaled so that the largest is 1000.

Principal peaks in the range 2θ from 5° to 70°, in order of falling intensity:
- 2θ 30.60, I = 1000
- 2θ 43.73, I = 372
- 2θ 43.91, I = 370
- 2θ 54.47, I = 195
- 2θ 26.45, I = 141
- 2θ 63.70, I = 121

```
data_Sm2DySe3
_chemical_formula_sum 'Sm2 Dy1 Se3'
_cell_length_a 4.1238
_cell_length_b 4.1238
_cell_length_c 10.1606
_cell_angle_alpha 90.00
_cell_angle_beta 90.00
_cell_angle_gamma 120.00
_symmetry_space_group_name_H-M 'P -3 m 1'
_symmetry_Int_Tables_number 164
_symmetry_space_group_name_Hall '-P 3 2"'
loop_
_atom_site_label
_atom_site_fract_x
_atom_site_fract_y
_atom_site_fract_z
Sm1 0.3333 0.6667 0.1686
Dy1 0.0000 0.0000 0.5000
Se1 0.0000 0.0000 0.0000
Se2 0.3333 0.6667 0.6593
```